Computed powder X-ray diffraction pattern of NbGaAsO for a wavelength of 1.5418 Å, from a crystal structure in OQMD, relaxed with GGA-PBE.
Peak positions follow from Bragg's law for the DFT cell and can differ from measured ones.

Principal peaks in the range 2θ from 15° to 90°, in order of rising 2θ:
- 2θ = 25.67°, 3.470 Å, I = 100, hkl 1 1 0
- 2θ = 28.99°, 3.080 Å, I = 67, hkl 0 2 1
- 2θ = 32.64°, 2.744 Å, I = 32, hkl 1 2 0
- 2θ = 35.47°, 2.531 Å, I = 71, hkl 0 0 2
- 2θ = 44.30°, 2.045 Å, I = 45, hkl 1 1 2
- 2θ = 45.80°, 1.981 Å, I = 84, hkl 1 3 1
- 2θ = 46.84°, 1.940 Å, I = 34, hkl 2 0 0
- 2θ = 50.39°, 1.811 Å, I = 29, hkl 0 4 1
- 2θ = 56.04°, 1.641 Å, I = 23, hkl 2 2 1
- 2θ = 60.10°, 1.540 Å, I = 30, hkl 2 0 2

Structure:
abc: 3.879 7.763 5.062
angles: 90.00 90.00 90.00
Space group Pmc2_1 (No. 26)
Inequivalent atoms, fractional coordinates:
Nb (0.000, 0.117, 0.000)
Ga (0.500, 0.437, 0.527)
As (0.000, 0.220, 0.500)
O (0.500, 0.144, 0.003)